Entry 1:
Starting from a crystal structure in Alexandria, relaxed with PBE, the powder X-ray diffraction pattern of Na3Ca was calculated for Cu Kα, 1.54184 Å.
Neutral-atom scattering factors, no anomalous dispersion.

Cell and atoms:
abc: 3.7467 3.7467 21.8778
angles: 90.00 90.00 90.00
Space group P4/nmm (No. 129, origin choice 2)
Inequivalent atoms, fractional coordinates:
Na1 0.2500 0.2500 0.0615 [2 per cell]
Na2 0.2500 0.2500 0.3060 [2 per cell]
Na3 0.2500 0.2500 0.8164 [2 per cell]
Ca1 0.2500 0.2500 0.5653 [2 per cell]

Largest 10 diffraction maxima, most intense first, 2θ = 10–80°:
two_theta	intensity	hkl
28.9	100	1 0 4
33.8	33	1 1 0
57.5	25	2 1 4
47.8	22	1 1 8
32.7	17	0 0 8
56.1	12	1 0 12
48.6	11	2 0 0
59.8	10	2 0 8
77.3	8	2 1 12
26.8	5	1 0 3

---

Entry 2:
Starting from a crystal structure in Alexandria, relaxed with PBE, the powder X-ray diffraction pattern of Rb2BiIBr6 was calculated for Cu Kα, 1.54184 Å.
Neutral-atom scattering factors, no anomalous dispersion.

Cell and atoms:
abc: 9.0639 9.0639 11.2452
angles: 90.00 90.00 90.00
Space group I4/mmm (No. 139)
Inequivalent atoms, fractional coordinates:
Rb1 0.0000 0.5000 0.2500 [4 per cell]
Bi1 0.0000 0.0000 0.0000 [2 per cell]
I1 0.0000 0.0000 0.5000 [2 per cell]
Br1 0.0000 0.0000 0.2557 [4 per cell]
Br2 0.2211 0.2211 0.0000 [8 per cell]

Largest 10 diffraction maxima, most intense first, 2θ = 10–80°:
two_theta	intensity	hkl
27.8	100	2 2 0
13.8	62	1 1 0
42.8	61	2 2 4
21.0	53	1 1 2
31.8	38	0 0 4
39.8	35	4 0 0
19.6	33	2 0 0
51.8	32	4 0 4
25.2	29	2 0 2
12.5	23	1 0 1